(1)
For Zr3Si, a structure optimized by DFT (GGA-PBE) gives the computed powder X-ray diffraction pattern in this record (CuKα).

Main lines, sorted by position (2θ from 10° to 90°):
two_theta  intensity
24.56  19
29.20  6
33.84  24
36.14  27
38.51  100
50.34  15
60.54  17
66.57  19
72.58  19
74.08  13
82.53  3
86.49  4

Cell and atoms:
Lattice parameters (Å, degrees): 6.1174 6.1174 4.9711 90.00 90.00 120.00
Space group P6_3/mmc (No. 194)
Asymmetric unit:
Zr 0.1727 0.3455 0.2500 x6
Si 0.3333 0.6667 0.7500 x2



(2)
For Zr2TlC, a structure optimized by DFT (GGA-PBE) gives the computed powder X-ray diffraction pattern in this record (CuKα).

Main lines, sorted by position (2θ from 10° to 90°):
two_theta  intensity
11.68  14
23.48  7
30.45  22
31.03  11
35.36  100
35.54  21
47.49  16
54.11  21
63.71  19
66.32  16
66.43  20
88.33  9

Cell and atoms:
Lattice parameters (Å, degrees): 3.3898 3.3898 15.1540 90.00 90.00 120.00
Space group P6_3/mmc (No. 194)
Asymmetric unit:
Zr 0.3333 0.6667 0.0812 x4
Tl 0.3333 0.6667 0.7500 x2
C 0.0000 0.0000 0.0000 x2



(3)
For Rb3AuCl6, a structure optimized by DFT (GGA-PBE) gives the computed powder X-ray diffraction pattern in this record (CuKα).

Main lines, sorted by position (2θ from 10° to 90°):
two_theta  intensity
13.74  28
15.88  27
22.53  100
32.07  60
39.55  45
45.99  40
51.80  25
57.17  13
62.24  27
71.75  12
76.30  16
89.55  16

Cell and atoms:
Lattice parameters (Å, degrees): 11.163 11.163 11.163 90.00 90.00 90.00
Space group Fm-3m (No. 225)
Asymmetric unit:
Rb 0.000 0.000 0.000 x4
Rb 0.250 0.250 0.250 x8
Au 0.000 0.000 0.500 x4
Cl 0.000 0.000 0.275 x24



(4)
For Fe2NiSe4, a structure optimized by DFT (GGA-PBE) gives the computed powder X-ray diffraction pattern in this record (CuKα).

Main lines, sorted by position (2θ from 10° to 90°):
two_theta  intensity
16.95  15
33.35  25
33.53  100
33.86  94
44.95  19
45.21  49
45.63  41
45.82  23
51.12  100
61.28  18
62.47  12
62.83  20

Cell and atoms:
Lattice parameters (Å, degrees): 12.061 3.570 6.197 90.00 119.87 90.00
Space group Cm (No. 8)
Asymmetric unit:
Fe 0.000 0.000 0.000 x2
Fe 0.238 0.500 0.720 x2
Ni 0.260 0.000 0.287 x2
Se 0.119 0.000 0.460 x2
Se 0.132 0.500 0.969 x2
Se 0.361 0.000 0.021 x2
Se 0.378 0.500 0.552 x2